Structure and simulated powder diffraction line list of Mn3In2Sb3O14 (a PBE+U-relaxed structure; λ = 1.5418 Å (Cu Kα)).
No peak broadening, texture or thermal motion is included.

Structural model:
Cell: 7.1370 7.1370 7.3535 Å, 119.09 119.09 60.43°
Fractional positions:
1 Mn 0.0000 0.0000 0.0000
2 Mn 0.0000 0.0000 0.5000
3 Mn 0.5000 0.5000 0.0000
4 In 0.0000 0.5000 0.5000
5 In 0.5000 0.0000 0.5000
6 Sb 0.0000 0.5000 0.0000
7 Sb 0.5000 0.0000 0.0000
8 Sb 0.5000 0.5000 0.5000
9 O 0.1273 0.1273 0.3811
10 O 0.1688 0.1688 0.9341
11 O 0.1686 0.5928 0.3232
12 O 0.1711 0.5733 0.9112
13 O 0.4047 0.4047 0.6417
14 O 0.4072 0.8314 0.6768
15 O 0.4267 0.8289 0.0888
16 O 0.5733 0.1711 0.9112
17 O 0.5928 0.1686 0.3232
18 O 0.5953 0.5953 0.3583
19 O 0.8289 0.4267 0.0888
20 O 0.8314 0.4072 0.6768
21 O 0.8312 0.8312 0.0659
22 O 0.8727 0.8727 0.6189

Principal peaks in the range 2θ from 15° to 90°, low angle first:
2θ (°), Rel. int.
29.39, 574
30.44, 1000
30.56, 518
34.94, 396
35.21, 185
49.66, 531
50.85, 164
51.20, 320